Entry 1:
The following is a calculated powder diffractogram of MgAl3. It was derived from a cell relaxed with PBE, using λ = 1.5418 Å (Cu Kα).
Peak positions follow from Bragg's law for the DFT cell and can differ from measured ones.

Main lines, sorted by position (2θ from 10° to 80°):
Position (°2θ), I_rel
37.6, 100
43.4, 16
43.9, 32
63.4, 21
63.8, 10
75.7, 12
76.5, 24

Structure:
Unit cell a=5.0931 b=5.0931 c=5.0931 alpha=132.20 beta=132.20 gamma=69.91
Fractional positions:
Mg (0.0000, 0.0000, 0.0000)
Al (0.2500, 0.7500, 0.5000)
Al (0.5000, 0.5000, 0.0000)
Al (0.7500, 0.2500, 0.5000)

---

Entry 2:
The following is a calculated powder diffractogram of Mg16Al13. It was derived from a cell relaxed with PBE, using λ = 1.5418 Å (Cu Kα).
Peak positions follow from Bragg's law for the DFT cell and can differ from measured ones.

Main lines, sorted by position (2θ from 10° to 80°):
Position (°2θ), I_rel
34.1, 7
36.2, 100
40.2, 28
42.1, 11
43.9, 16
61.0, 5
62.4, 8
65.1, 27
66.5, 6
76.9, 9

Structure:
Unit cell a=9.1149 b=9.1149 c=9.1149 alpha=109.47 beta=109.47 gamma=109.47
Fractional positions:
Mg (0.0000, 0.0000, 0.3445)
Mg (0.0000, 0.3163, 0.6026)
Mg (0.0000, 0.3445, 0.0000)
Mg (0.0000, 0.6026, 0.3163)
Mg (0.2863, 0.6837, 0.6837)
Mg (0.3163, 0.0000, 0.6026)
Mg (0.3163, 0.6026, 0.0000)
Mg (0.3445, 0.0000, 0.0000)
Mg (0.3974, 0.3974, 0.7137)
Mg (0.3974, 0.7137, 0.3974)
Mg (0.6026, 0.0000, 0.3163)
Mg (0.6026, 0.3163, 0.0000)
Mg (0.6555, 0.6555, 0.6555)
Mg (0.6837, 0.2863, 0.6837)
Mg (0.6837, 0.6837, 0.2863)
Mg (0.7137, 0.3974, 0.3974)
Al (0.0000, 0.0000, 0.0000)
Al (0.0000, 0.6328, 0.8152)
Al (0.0000, 0.8152, 0.6328)
Al (0.1824, 0.3672, 0.3672)
Al (0.1848, 0.1848, 0.8176)
Al (0.1848, 0.8176, 0.1848)
Al (0.3672, 0.1824, 0.3672)
Al (0.3672, 0.3672, 0.1824)
Al (0.6328, 0.0000, 0.8152)
Al (0.6328, 0.8152, 0.0000)
Al (0.8152, 0.0000, 0.6328)
Al (0.8152, 0.6328, 0.0000)
Al (0.8176, 0.1848, 0.1848)

---

Entry 3:
The following is a calculated powder diffractogram of MgAl3. It was derived from a cell relaxed with PBE, using λ = 1.5418 Å (Cu Kα).
Peak positions follow from Bragg's law for the DFT cell and can differ from measured ones.

Main lines, sorted by position (2θ from 10° to 80°):
Position (°2θ), I_rel
38.6, 100
55.7, 17
69.7, 33

Structure:
Unit cell a=4.6706 b=4.6706 c=4.6706 alpha=60.00 beta=60.00 gamma=60.00
Fractional positions:
Mg (0.0000, 0.0000, 0.0000)
Al (0.2500, 0.2500, 0.2500)
Al (0.5000, 0.5000, 0.5000)
Al (0.7500, 0.7500, 0.7500)

---

Entry 4:
The following is a calculated powder diffractogram of Mg18Al11. It was derived from a cell relaxed with PBE, using λ = 1.5418 Å (Cu Kα).
Peak positions follow from Bragg's law for the DFT cell and can differ from measured ones.

Main lines, sorted by position (2θ from 10° to 80°):
Position (°2θ), I_rel
33.7, 17
35.6, 19
35.8, 81
35.9, 100
36.2, 75
36.4, 79
39.9, 17
40.0, 34
40.2, 32
64.6, 16

Structure:
Unit cell a=9.1293 b=9.1293 c=9.1736 alpha=108.91 beta=108.91 gamma=110.22
Fractional positions:
Mg (0.0000, 0.0000, 0.0000)
Mg (0.0006, 0.0006, 0.3473)
Mg (0.0012, 0.6530, 0.3463)
Mg (0.2813, 0.6003, 0.9464)
Mg (0.3089, 0.3089, 0.0568)
Mg (0.3151, 0.7121, 0.6619)
Mg (0.3449, 0.3449, 0.6911)
Mg (0.3956, 0.6826, 0.3455)
Mg (0.3964, 0.9989, 0.0292)
Mg (0.6003, 0.2813, 0.9464)
Mg (0.6011, 0.6011, 0.6321)
Mg (0.6315, 0.6315, 0.1654)
Mg (0.6530, 0.0012, 0.3463)
Mg (0.6822, 0.9987, 0.7442)
Mg (0.6826, 0.3956, 0.3455)
Mg (0.7121, 0.3151, 0.6619)
Mg (0.9989, 0.3964, 0.0292)
Mg (0.9987, 0.6822, 0.7442)
Al (0.9999, 0.3644, 0.5307)
Al (0.0011, 0.1867, 0.7165)
Al (0.1812, 0.8144, 0.1611)
Al (0.1836, 0.3649, 0.3471)
Al (0.1867, 0.0011, 0.7165)
Al (0.3644, 0.9999, 0.5307)
Al (0.3649, 0.1836, 0.3471)
Al (0.6313, 0.8187, 0.9716)
Al (0.8144, 0.1812, 0.1611)
Al (0.8175, 0.8175, 0.5336)
Al (0.8187, 0.6313, 0.9716)

---

Entry 5:
The following is a calculated powder diffractogram of Mg3Al. It was derived from a cell relaxed with PBE, using λ = 1.5418 Å (Cu Kα).
Peak positions follow from Bragg's law for the DFT cell and can differ from measured ones.

Main lines, sorted by position (2θ from 10° to 80°):
Position (°2θ), I_rel
35.5, 100
41.3, 49
59.8, 31
71.5, 36
75.2, 10

Structure:
Unit cell a=4.3767 b=4.3767 c=4.3767 alpha=90.00 beta=90.00 gamma=90.00
Fractional positions:
Mg (0.0000, 0.0000, 0.5000)
Mg (0.0000, 0.5000, 0.0000)
Mg (0.5000, 0.0000, 0.0000)
Al (0.5000, 0.5000, 0.5000)

---

Entry 6:
The following is a calculated powder diffractogram of Mg17Al12. It was derived from a cell relaxed with PBE, using λ = 1.5418 Å (Cu Kα).
Peak positions follow from Bragg's law for the DFT cell and can differ from measured ones.

Main lines, sorted by position (2θ from 10° to 80°):
Position (°2θ), I_rel
34.0, 7
36.2, 100
40.2, 28
42.0, 10
43.8, 16
60.9, 5
62.3, 7
65.1, 27
66.4, 6
76.8, 9

Structure:
Unit cell a=9.1215 b=9.1215 c=9.1215 alpha=109.47 beta=109.47 gamma=109.47
Fractional positions:
Mg (0.0000, 0.0000, 0.0000)
Mg (0.0000, 0.0000, 0.6558)
Mg (0.0000, 0.3970, 0.6837)
Mg (0.0000, 0.6558, 0.0000)
Mg (0.0000, 0.6837, 0.3970)
Mg (0.2867, 0.6030, 0.6030)
Mg (0.3163, 0.3163, 0.7133)
Mg (0.3163, 0.7133, 0.3163)
Mg (0.3442, 0.3442, 0.3442)
Mg (0.3970, 0.0000, 0.6837)
Mg (0.3970, 0.6837, 0.0000)
Mg (0.6030, 0.2867, 0.6030)
Mg (0.6030, 0.6030, 0.2867)
Mg (0.6558, 0.0000, 0.0000)
Mg (0.6837, 0.0000, 0.3970)
Mg (0.6837, 0.3970, 0.0000)
Mg (0.7133, 0.3163, 0.3163)
Al (0.0000, 0.1852, 0.3664)
Al (0.0000, 0.3664, 0.1852)
Al (0.1813, 0.8148, 0.8148)
Al (0.1852, 0.0000, 0.3664)
Al (0.1852, 0.3664, 0.0000)
Al (0.3664, 0.0000, 0.1852)
Al (0.3664, 0.1852, 0.0000)
Al (0.6336, 0.6336, 0.8187)
Al (0.6336, 0.8187, 0.6336)
Al (0.8148, 0.1813, 0.8148)
Al (0.8148, 0.8148, 0.1813)
Al (0.8187, 0.6336, 0.6336)

---

Entry 7:
The following is a calculated powder diffractogram of Mg3Al. It was derived from a cell relaxed with PBE, using λ = 1.5418 Å (Cu Kα).
Peak positions follow from Bragg's law for the DFT cell and can differ from measured ones.

Main lines, sorted by position (2θ from 10° to 80°):
Position (°2θ), I_rel
32.9, 24
33.3, 12
36.1, 38
37.7, 100
38.1, 48
49.6, 15
59.3, 17
66.0, 18
71.4, 19
71.9, 14

Structure:
Unit cell a=3.1572 b=4.9752 c=5.3748 alpha=90.00 beta=90.00 gamma=90.00
Fractional positions:
Mg (0.0000, 0.0000, 0.0000)
Mg (0.0000, 0.5000, 0.3381)
Mg (0.5000, 0.0000, 0.5084)
Al (0.5000, 0.5000, 0.8378)

---

Entry 8:
The following is a calculated powder diffractogram of Mg16Al13. It was derived from a cell relaxed with PBE, using λ = 1.5418 Å (Cu Kα).
Peak positions follow from Bragg's law for the DFT cell and can differ from measured ones.

Main lines, sorted by position (2θ from 10° to 80°):
Position (°2θ), I_rel
34.2, 21
36.2, 100
36.3, 100
36.5, 97
40.2, 43
40.3, 22
40.7, 20
43.8, 20
65.3, 20
65.5, 18

Structure:
Unit cell a=9.1073 b=9.1073 c=9.1073 alpha=109.72 beta=109.72 gamma=109.72
Fractional positions:
Mg (0.0000, 0.0000, 0.0000)
Mg (0.0027, 0.3189, 0.6044)
Mg (0.0027, 0.6044, 0.3189)
Mg (0.0039, 0.0039, 0.3506)
Mg (0.0039, 0.3506, 0.0039)
Mg (0.2885, 0.6863, 0.6863)
Mg (0.3189, 0.0027, 0.6044)
Mg (0.3189, 0.6044, 0.0027)
Mg (0.3506, 0.0039, 0.0039)
Mg (0.4032, 0.4032, 0.7152)
Mg (0.4032, 0.7152, 0.4032)
Mg (0.6044, 0.0027, 0.3189)
Mg (0.6044, 0.3189, 0.0027)
Mg (0.6863, 0.2885, 0.6863)
Mg (0.6863, 0.6863, 0.2885)
Mg (0.7152, 0.4032, 0.4032)
Al (0.0002, 0.6346, 0.8157)
Al (0.0002, 0.8157, 0.6346)
Al (0.1846, 0.3702, 0.3702)
Al (0.1893, 0.1893, 0.8205)
Al (0.1893, 0.8205, 0.1893)
Al (0.3702, 0.1846, 0.3702)
Al (0.3702, 0.3702, 0.1846)
Al (0.6346, 0.0002, 0.8157)
Al (0.6346, 0.8157, 0.0002)
Al (0.6627, 0.6627, 0.6627)
Al (0.8157, 0.0002, 0.6346)
Al (0.8157, 0.6346, 0.0002)
Al (0.8205, 0.1893, 0.1893)

---

Entry 9:
The following is a calculated powder diffractogram of Mg3Al. It was derived from a cell relaxed with PBE, using λ = 1.5418 Å (Cu Kα).
Peak positions follow from Bragg's law for the DFT cell and can differ from measured ones.

Main lines, sorted by position (2θ from 10° to 80°):
Position (°2θ), I_rel
36.7, 100
52.8, 17
66.0, 33
78.0, 10

Structure:
Unit cell a=4.9007 b=4.9007 c=4.9007 alpha=60.00 beta=60.00 gamma=60.00
Fractional positions:
Mg (0.0000, 0.0000, 0.0000)
Mg (0.2500, 0.2500, 0.2500)
Mg (0.7500, 0.7500, 0.7500)
Al (0.5000, 0.5000, 0.5000)